For Ce3WCl3O6, the GGA+U geometry in Alexandria gives the calculated powder diffraction line list in this record (copper Kα).
Lines closer than 0.1° are merged.

Peak list (12 most intense, 2θ = 15–90°, sorted by position)
- (1 1 1), 25.17 deg, I = 467
- (2 0 1), 27.52 deg, I = 472
- (2 1 0), 29.21 deg, I = 304
- (0 0 2), 33.05 deg, I = 270
- (3 0 0), 33.23 deg, I = 147
- (2 1 1), 33.66 deg, I = 1000
- (2 1 2), 44.68 deg, I = 350
- (3 0 2), 47.57 deg, I = 175
- (4 1 0), 51.80 deg, I = 166
- (2 3 1), 52.10 deg, I = 280
- (2 1 3), 59.42 deg, I = 194
- (1 4 2), 62.83 deg, I = 171

Structural model:
a b c (Å): 9.3397 9.3397 5.4205
angles (deg): 90.00 90.00 120.00
Space group P6_3/m (No. 176)
One atom of each set of equivalent atoms:
Ce1 0.0901 0.4104 0.2500 [6 per cell]
W1 0.3333 0.6667 0.7500 [2 per cell]
Cl1 0.0514 0.2413 0.7500 [6 per cell]
O1 0.1548 0.6348 0.5114 [12 per cell]